No. 1
This entry pairs a crystal structure of PaCdAgPt with its computed X-ray diffraction stick pattern. Radiation: a wavelength of 1.5418 Å. Structure: a structure optimized by DFT (PBE).

Structural model:
Lattice parameters (Å, degrees): 4.900 4.900 4.900 60.00 60.00 60.00
Positions (direct):
Pa1 0.000 0.000 0.000
Cd1 0.500 0.500 0.500
Ag1 0.250 0.250 0.250
Pt1 0.750 0.750 0.750

Most intense lines, 2θ = 15–90°, sorted by position:
22.2°, d 4.001, intensity 10
36.7°, d 2.450, intensity 100
43.3°, d 2.090, intensity 6
52.8°, d 1.733, intensity 18
58.0°, d 1.590, intensity 3
66.0°, d 1.415, intensity 36
70.6°, d 1.334, intensity 2
78.0°, d 1.225, intensity 11
82.3°, d 1.171, intensity 2
89.4°, d 1.096, intensity 17

***

No. 2
This entry pairs a crystal structure of Cd2AgPb with its computed X-ray diffraction stick pattern. Radiation: a wavelength of 1.5418 Å. Structure: a structure optimized by DFT (PBE).

Structural model:
Lattice parameters (Å, degrees): 7.298 7.298 7.298 154.98 141.93 46.10
Positions (direct):
Cd1 0.000 0.000 0.000
Cd2 0.668 0.168 0.500
Ag1 0.184 0.684 0.500
Pb1 0.384 0.384 0.000

Most intense lines, 2θ = 15–90°, sorted by position:
19.8°, d 4.487, intensity 22
26.5°, d 3.358, intensity 23
27.3°, d 3.261, intensity 36
34.7°, d 2.582, intensity 23
36.7°, d 2.451, intensity 100
37.8°, d 2.380, intensity 31
38.5°, d 2.339, intensity 22
40.3°, d 2.238, intensity 11
44.3°, d 2.047, intensity 11
52.3°, d 1.750, intensity 15
66.0°, d 1.416, intensity 17
67.5°, d 1.387, intensity 16

***

No. 3
This entry pairs a crystal structure of YCdAgPb with its computed X-ray diffraction stick pattern. Radiation: a wavelength of 1.5418 Å. Structure: a structure optimized by DFT (PBE).

Structural model:
Lattice parameters (Å, degrees): 4.445 4.508 4.849 90.00 90.00 90.00
Positions (direct):
Y1 0.000 0.000 0.000
Cd1 0.000 0.500 0.500
Ag1 0.500 0.000 0.500
Pb1 0.500 0.500 0.000

Most intense lines, 2θ = 15–90°, sorted by position:
19.7°, d 4.508, intensity 4
33.8°, d 2.651, intensity 100
37.1°, d 2.424, intensity 19
40.0°, d 2.254, intensity 16
40.6°, d 2.223, intensity 15
55.7°, d 1.651, intensity 12
56.1°, d 1.638, intensity 11
58.3°, d 1.583, intensity 10
64.8°, d 1.439, intensity 15
68.7°, d 1.366, intensity 12
69.5°, d 1.352, intensity 12
71.1°, d 1.325, intensity 11

***

No. 4
This entry pairs a crystal structure of Cd3Ag5Pd with its computed X-ray diffraction stick pattern. Radiation: a wavelength of 1.5418 Å. Structure: a structure optimized by DFT (PBE).

Structural model:
Lattice parameters (Å, degrees): 7.084 7.084 9.012 93.41 93.41 67.88
Positions (direct):
Cd1 0.000 0.000 0.000
Cd2 0.000 0.000 0.500
Cd3 0.284 0.284 0.479
Cd4 0.307 0.307 0.822
Cd5 0.693 0.693 0.178
Cd6 0.716 0.716 0.521
Ag1 0.083 0.715 0.251
Ag2 0.285 0.917 0.749
Ag3 0.312 0.312 0.136
Ag4 0.334 0.666 0.000
Ag5 0.498 0.498 0.655
Ag6 0.502 0.502 0.345
Ag7 0.666 0.334 0.000
Ag8 0.688 0.688 0.864
Ag9 0.715 0.083 0.251
Ag10 0.917 0.285 0.749
Pd1 0.113 0.113 0.262
Pd2 0.887 0.887 0.738

Most intense lines, 2θ = 15–90°, sorted by position:
22.5°, d 3.955, intensity 83
29.4°, d 3.041, intensity 51
32.6°, d 2.749, intensity 38
34.6°, d 2.594, intensity 24
35.3°, d 2.540, intensity 32
36.2°, d 2.484, intensity 25
37.8°, d 2.378, intensity 29
38.2°, d 2.354, intensity 63
40.1°, d 2.248, intensity 100
41.6°, d 2.169, intensity 58
42.2°, d 2.144, intensity 37
50.7°, d 1.801, intensity 31

***

No. 5
This entry pairs a crystal structure of Cd2Ag2Pd7 with its computed X-ray diffraction stick pattern. Radiation: a wavelength of 1.5418 Å. Structure: a structure optimized by DFT (PBE).

Structural model:
Lattice parameters (Å, degrees): 6.550 6.550 4.991 108.29 108.29 90.79
Positions (direct):
Cd1 0.188 0.812 0.000
Cd2 0.812 0.188 0.000
Ag1 0.399 0.399 0.668
Ag2 0.601 0.601 0.332
Pd1 0.000 0.000 0.500
Pd2 0.073 0.585 0.327
Pd3 0.255 0.255 0.044
Pd4 0.415 0.927 0.673
Pd5 0.585 0.073 0.327
Pd6 0.745 0.745 0.956
Pd7 0.927 0.415 0.673

Most intense lines, 2θ = 15–90°, sorted by position:
30.7°, d 2.908, intensity 17
31.2°, d 2.868, intensity 12
34.0°, d 2.633, intensity 18
38.0°, d 2.369, intensity 26
38.6°, d 2.332, intensity 44
39.2°, d 2.300, intensity 41
40.7°, d 2.215, intensity 100
41.2°, d 2.191, intensity 61
41.7°, d 2.164, intensity 27
56.2°, d 1.637, intensity 16
71.7°, d 1.316, intensity 15
72.7°, d 1.301, intensity 15

***

No. 6
This entry pairs a crystal structure of Cd4Ag2Pd with its computed X-ray diffraction stick pattern. Radiation: a wavelength of 1.5418 Å. Structure: a structure optimized by DFT (PBE).

Structural model:
Lattice parameters (Å, degrees): 7.177 5.456 7.979 90.00 116.31 90.00
Positions (direct):
Cd1 0.124 0.250 0.072
Cd2 0.126 0.502 0.725
Cd3 0.126 0.998 0.725
Cd4 0.275 0.750 0.309
Cd5 0.725 0.250 0.691
Cd6 0.874 0.002 0.275
Cd7 0.874 0.498 0.275
Cd8 0.876 0.750 0.928
Ag1 0.289 0.250 0.495
Ag2 0.470 0.750 0.066
Ag3 0.530 0.250 0.934
Ag4 0.711 0.750 0.505
Pd1 0.458 0.750 0.698
Pd2 0.542 0.250 0.302

Most intense lines, 2θ = 15–90°, sorted by position:
32.8°, d 2.728, intensity 29
35.3°, d 2.543, intensity 33
35.6°, d 2.524, intensity 29
35.8°, d 2.511, intensity 100
37.6°, d 2.394, intensity 73
37.7°, d 2.384, intensity 85
38.1°, d 2.360, intensity 69
39.1°, d 2.305, intensity 31
39.3°, d 2.291, intensity 44
40.1°, d 2.250, intensity 23
41.6°, d 2.171, intensity 100
61.9°, d 1.499, intensity 32

***

No. 7
This entry pairs a crystal structure of CdAg5Pd8 with its computed X-ray diffraction stick pattern. Radiation: a wavelength of 1.5418 Å. Structure: a structure optimized by DFT (PBE).

Structural model:
Lattice parameters (Å, degrees): 6.849 6.849 6.849 110.32 110.32 107.79
Positions (direct):
Cd1 0.000 0.000 0.000
Ag1 0.217 0.633 0.179
Ag2 0.367 0.546 0.584
Ag3 0.454 0.037 0.821
Ag4 0.750 0.250 0.500
Ag5 0.963 0.783 0.416
Pd1 0.112 0.680 0.787
Pd2 0.182 0.278 0.774
Pd3 0.320 0.107 0.431
Pd4 0.504 0.408 0.226
Pd5 0.592 0.818 0.096
Pd6 0.676 0.888 0.569
Pd7 0.722 0.496 0.904
Pd8 0.893 0.324 0.213

Most intense lines, 2θ = 15–90°, sorted by position:
27.8°, d 3.211, intensity 20
35.3°, d 2.544, intensity 65
36.2°, d 2.482, intensity 79
36.3°, d 2.475, intensity 73
39.5°, d 2.282, intensity 29
42.4°, d 2.133, intensity 100
42.9°, d 2.110, intensity 55
43.2°, d 2.096, intensity 53
49.4°, d 1.846, intensity 18
69.5°, d 1.353, intensity 19
74.2°, d 1.279, intensity 20
81.4°, d 1.182, intensity 19

***

No. 8
This entry pairs a crystal structure of Cd6Ag10Pd with its computed X-ray diffraction stick pattern. Radiation: a wavelength of 1.5418 Å. Structure: a structure optimized by DFT (PBE).

Structural model:
Lattice parameters (Å, degrees): 8.108 8.108 5.786 90.00 90.00 120.00
Positions (direct):
Cd1 0.000 0.334 0.335
Cd2 0.000 0.666 0.665
Cd3 0.334 0.000 0.335
Cd4 0.334 0.334 0.665
Cd5 0.666 0.000 0.665
Cd6 0.666 0.666 0.335
Ag1 0.000 0.317 0.844
Ag2 0.000 0.683 0.156
Ag3 0.317 0.000 0.844
Ag4 0.317 0.317 0.156
Ag5 0.333 0.667 0.000
Ag6 0.333 0.667 0.500
Ag7 0.667 0.333 0.000
Ag8 0.667 0.333 0.500
Ag9 0.683 0.000 0.156
Ag10 0.683 0.683 0.844
Pd1 0.000 0.000 0.500

Most intense lines, 2θ = 15–90°, sorted by position:
19.9°, d 4.466, intensity 2
25.4°, d 3.511, intensity 3
29.8°, d 3.002, intensity 2
37.3°, d 2.412, intensity 3
38.2°, d 2.355, intensity 100
38.5°, d 2.341, intensity 96
55.3°, d 1.660, intensity 32
68.9°, d 1.362, intensity 16
69.4°, d 1.354, intensity 31
69.6°, d 1.351, intensity 15
81.8°, d 1.178, intensity 10
82.4°, d 1.170, intensity 9

***

No. 9
This entry pairs a crystal structure of CdAg6Pd5 with its computed X-ray diffraction stick pattern. Radiation: a wavelength of 1.5418 Å. Structure: a structure optimized by DFT (PBE).

Structural model:
Lattice parameters (Å, degrees): 6.436 6.436 8.145 90.07 90.07 143.14
Positions (direct):
Cd1 0.000 0.000 0.000
Ag1 0.168 0.832 0.253
Ag2 0.168 0.832 0.747
Ag3 0.500 0.500 0.257
Ag4 0.500 0.500 0.743
Ag5 0.832 0.168 0.253
Ag6 0.832 0.168 0.747
Pd1 0.000 0.000 0.500
Pd2 0.333 0.667 0.500
Pd3 0.334 0.666 0.000
Pd4 0.666 0.334 0.000
Pd5 0.667 0.333 0.500

Most intense lines, 2θ = 15–90°, sorted by position:
38.3°, d 2.350, intensity 100
44.5°, d 2.035, intensity 48
64.6°, d 1.442, intensity 5
64.8°, d 1.439, intensity 20
64.9°, d 1.437, intensity 5
77.7°, d 1.228, intensity 18
77.9°, d 1.226, intensity 18
81.9°, d 1.177, intensity 5
82.1°, d 1.174, intensity 5

***

No. 10
This entry pairs a crystal structure of Cd2Ag2Pd15 with its computed X-ray diffraction stick pattern. Radiation: a wavelength of 1.5418 Å. Structure: a structure optimized by DFT (PBE).

Structural model:
Lattice parameters (Å, degrees): 6.975 6.975 6.975 81.71 81.71 81.71
Positions (direct):
Cd1 0.105 0.105 0.105
Cd2 0.895 0.895 0.895
Ag1 0.379 0.379 0.379
Ag2 0.621 0.621 0.621
Pd1 0.000 0.000 0.500
Pd2 0.000 0.319 0.681
Pd3 0.000 0.500 0.000
Pd4 0.000 0.681 0.319
Pd5 0.165 0.657 0.657
Pd6 0.319 0.000 0.681
Pd7 0.319 0.681 0.000
Pd8 0.343 0.343 0.835
Pd9 0.343 0.835 0.343
Pd10 0.500 0.000 0.000
Pd11 0.657 0.165 0.657
Pd12 0.657 0.657 0.165
Pd13 0.681 0.000 0.319
Pd14 0.681 0.319 0.000
Pd15 0.835 0.343 0.343

Most intense lines, 2θ = 15–90°, sorted by position:
19.4°, d 4.566, intensity 10
34.0°, d 2.634, intensity 22
34.6°, d 2.589, intensity 12
39.5°, d 2.282, intensity 100
40.0°, d 2.252, intensity 11
44.4°, d 2.042, intensity 79
64.6°, d 1.443, intensity 11
68.1°, d 1.377, intensity 13
71.7°, d 1.317, intensity 17
75.0°, d 1.267, intensity 11
85.0°, d 1.141, intensity 13
88.3°, d 1.107, intensity 13

***

No. 11
This entry pairs a crystal structure of Cd4AgPd3 with its computed X-ray diffraction stick pattern. Radiation: a wavelength of 1.5418 Å. Structure: a structure optimized by DFT (PBE).

Structural model:
Lattice parameters (Å, degrees): 3.103 3.103 14.946 90.00 90.00 90.00
Positions (direct):
Cd1 0.000 0.000 0.122
Cd2 0.000 0.000 0.365
Cd3 0.000 0.000 0.635
Cd4 0.000 0.000 0.878
Ag1 0.500 0.500 0.500
Pd1 0.500 0.500 0.000
Pd2 0.500 0.500 0.244
Pd3 0.500 0.500 0.756

Most intense lines, 2θ = 15–90°, sorted by position:
34.0°, d 2.634, intensity 1
37.7°, d 2.387, intensity 100
41.1°, d 2.194, intensity 40
42.0°, d 2.153, intensity 1
48.7°, d 1.868, intensity 11
59.6°, d 1.551, intensity 13
65.6°, d 1.422, intensity 17
71.2°, d 1.324, intensity 1
72.7°, d 1.301, intensity 27
80.5°, d 1.194, intensity 10
83.7°, d 1.156, intensity 8
89.3°, d 1.097, intensity 4

***

No. 12
This entry pairs a crystal structure of CdAg3Pd3 with its computed X-ray diffraction stick pattern. Radiation: a wavelength of 1.5418 Å. Structure: a structure optimized by DFT (PBE).

Structural model:
Lattice parameters (Å, degrees): 7.610 7.610 4.736 90.00 90.00 120.00
Positions (direct):
Cd1 0.333 0.667 0.250
Cd2 0.667 0.333 0.750
Ag1 0.043 0.238 0.250
Ag2 0.195 0.957 0.250
Ag3 0.238 0.195 0.750
Ag4 0.762 0.805 0.250
Ag5 0.805 0.043 0.750
Ag6 0.957 0.762 0.750
Pd1 0.095 0.477 0.750
Pd2 0.382 0.905 0.750
Pd3 0.477 0.382 0.250
Pd4 0.523 0.618 0.750
Pd5 0.618 0.095 0.250
Pd6 0.905 0.523 0.250

Most intense lines, 2θ = 15–90°, sorted by position:
36.1°, d 2.491, intensity 24
38.0°, d 2.368, intensity 28
40.9°, d 2.205, intensity 100
53.4°, d 1.716, intensity 15
64.8°, d 1.438, intensity 16
70.6°, d 1.333, intensity 19
76.5°, d 1.245, intensity 2
77.7°, d 1.229, intensity 19
79.6°, d 1.204, intensity 13
81.2°, d 1.184, intensity 3
88.8°, d 1.102, intensity 4